Sm2PuGe3Pt4: simulated XRD peak list (Cu Kα), based on a DFT-relaxed cell (PBE, Alexandria).
Peak positions follow from Bragg's law for the DFT cell and can differ from measured ones.

Structural model:
Lattice parameters (Å, degrees): 4.3126 4.3126 11.1479 90.00 90.00 90.00
Element x y z (fractional)
Sm 0.0000 0.5000 0.2223
Sm 0.5000 0.0000 0.7777
Pu 0.0000 0.0000 0.5000
Ge 0.0000 0.5000 0.8785
Ge 0.5000 0.0000 0.1215
Ge 0.5000 0.5000 0.5000
Pt 0.0000 0.0000 0.0000
Pt 0.0000 0.5000 0.6597
Pt 0.5000 0.0000 0.3403
Pt 0.5000 0.5000 0.0000

The 10 most intense peaks (10 to 80 degrees two-theta), sorted by position:
d/Å  two_theta  I_rel
3.411  26.1  17
2.815  31.8  18
2.675  33.5  100
2.341  38.5  15
2.156  41.9  50
2.057  44.0  28
1.981  45.8  15
1.586  58.2  13
1.525  60.7  17
1.325  71.2  23

***

Rb2Ge4Pt5: simulated XRD peak list (Cu Kα), based on a DFT-relaxed cell (PBE, Alexandria).
Peak positions follow from Bragg's law for the DFT cell and can differ from measured ones.

Structural model:
Lattice parameters (Å, degrees): 8.5316 7.2453 6.6935 75.36 55.25 49.38
Element x y z (fractional)
Rb 0.1400 0.8600 0.1400
Rb 0.8600 0.1400 0.8600
Ge 0.2120 0.4669 0.5331
Ge 0.4669 0.2120 0.7880
Ge 0.5331 0.7880 0.2120
Ge 0.7880 0.5331 0.4669
Pt 0.0000 0.5000 0.0000
Pt 0.2500 0.2500 0.2500
Pt 0.5000 0.0000 0.5000
Pt 0.5000 0.5000 0.5000
Pt 0.7500 0.7500 0.7500

The 10 most intense peaks (10 to 80 degrees two-theta), sorted by position:
d/Å  two_theta  I_rel
6.343  14.0  79
5.400  16.4  29
3.172  28.1  48
3.065  29.1  100
2.622  34.2  42
2.602  34.5  24
2.211  40.8  44
2.121  42.6  35
2.088  43.3  59
1.810  50.4  45